Calculated powder diffraction line list of KVNiOF6 for copper Kα, from the PBE+U geometry in Alexandria.

Structural model:
```
20
Lattice="-3.7593 3.8077 5.2539 3.7593 -3.8077 5.2539 3.7593 3.8077 -5.2539" Properties=species:S:1:pos:R:3 pbc="T T T"
K 0.0000 0.0000 0.0000
K 0.0000 3.8077 0.0000
V 3.7593 0.0000 0.0000
V 0.0000 0.0000 5.2539
Ni -1.8797 1.9038 2.6269
Ni 1.8797 1.9038 2.6269
O 3.7593 -1.9038 3.3428
O 0.0000 5.7115 1.9111
F 2.3688 0.4542 1.2627
F 5.1499 0.4542 1.2627
F 3.7593 1.9038 -0.6064
F 0.0000 1.9038 1.8932
F 2.3688 4.2619 -1.2627
F 1.3906 0.4542 3.9912
F 2.3688 3.3535 1.2627
F 1.3906 -0.4542 6.5166
F 3.7593 1.9038 3.3606
F 0.0000 1.9038 5.8603
F -1.3906 3.3535 3.9912
F 1.3906 3.3535 3.9912
```

Principal peaks in the range 2θ from 10° to 80°, in order of falling intensity:
2θ 14.36, I 100; 2θ 28.96, I 81; 2θ 29.21, I 57; 2θ 48.57, I 47; 2θ 27.79, I 44; 2θ 14.49, I 20; 2θ 57.42, I 19; 2θ 44.06, I 17; 2θ 56.98, I 16; 2θ 47.77, I 15